Starting from a structure optimized by DFT (GGA-PBE), the X-ray powder pattern of KMgTl2 was computed for Cu Kα, 1.54184 Å.
Neutral-atom scattering factors, no anomalous dispersion.

Atomic structure:
```
KMgTl2
1.0
3.751 -4.704 0.000
3.751 4.704 0.000
0.000 0.000 3.526
K Mg Tl
1 1 2
Cartesian
0.000 0.000 0.000
3.751 0.000 0.000
1.876 2.352 1.763
1.876 -2.352 1.763
```

Top 8 peaks for 10 to 80 degrees two-theta, sorted by position:
18.87 deg, 4.704 Å, I = 79; 23.72 deg, 3.751 Å, I = 46; 25.26 deg, 3.526 Å, I = 40; 30.48 deg, 2.933 Å, I = 100; 31.72 deg, 2.821 Å, I = 90; 34.92 deg, 2.569 Å, I = 70; 39.99 deg, 2.255 Å, I = 50; 52.77 deg, 1.735 Å, I = 43